Theoretical X-ray powder pattern of Rb3Ce3ZnSe8 for Cu Kα X-rays, from a cell relaxed with GGA-PBE.
Kinematic intensities with the Lorentz-polarization factor, no thermal factor.

Crystal structure
Unit cell a=8.4695 b=8.4695 c=9.4617 alpha=116.64 beta=116.64 gamma=59.92
Fractional coordinates of all 15 atoms:
Rb: 0.0000 0.0000 0.0000
Rb: 0.0000 0.5000 0.0000
Rb: 0.5000 0.0000 0.0000
Ce: 0.0000 0.5000 0.5000
Ce: 0.5000 0.0000 0.5000
Ce: 0.5000 0.5000 0.5000
Zn: 0.0000 0.0000 0.5000
Se: 0.2233 0.7385 0.6851
Se: 0.2248 0.2248 0.6861
Se: 0.2615 0.7767 0.3149
Se: 0.2670 0.2670 0.3008
Se: 0.7330 0.7330 0.6992
Se: 0.7385 0.2233 0.6851
Se: 0.7752 0.7752 0.3139
Se: 0.7767 0.2615 0.3149

Most intense lines, 2θ = 10–90°, by angle:
10.9 deg, intensity 39
28.4 deg, intensity 100
35.6 deg, intensity 19
38.5 deg, intensity 30
42.7 deg, intensity 37
52.1 deg, intensity 18
58.9 deg, intensity 11
69.6 deg, intensity 15

Theoretical X-ray powder pattern of Rb3CeSm3Te8 for Cu Kα X-rays, from a cell relaxed with GGA-PBE.
Kinematic intensities with the Lorentz-polarization factor, no thermal factor.

Crystal structure
Unit cell a=10.1766 b=10.1766 c=10.1766 alpha=53.12 beta=53.12 gamma=53.12
Fractional coordinates of all 15 atoms:
Rb: 0.0000 0.5000 0.5000
Rb: 0.5000 0.0000 0.5000
Rb: 0.5000 0.5000 0.0000
Ce: 0.5000 0.5000 0.5000
Sm: 0.0000 0.0000 0.5000
Sm: 0.0000 0.5000 0.0000
Sm: 0.5000 0.0000 0.0000
Te: 0.2342 0.2342 0.2342
Te: 0.2361 0.7312 0.7312
Te: 0.2688 0.2688 0.7639
Te: 0.2688 0.7639 0.2688
Te: 0.7312 0.2361 0.7312
Te: 0.7312 0.7312 0.2361
Te: 0.7639 0.2688 0.2688
Te: 0.7658 0.7658 0.7658

Most intense lines, 2θ = 10–90°, by angle:
10.1 deg, intensity 39
26.4 deg, intensity 100
33.0 deg, intensity 18
35.7 deg, intensity 33
39.6 deg, intensity 37
48.2 deg, intensity 19
54.4 deg, intensity 12
64.1 deg, intensity 17

> Number 1 is which compound?

Rb3Ce3ZnSe8